Entry 1:
Starting from a GGA-PBE-relaxed structure, the powder X-ray diffraction pattern of KCeZr2O6 was calculated for λ = 1.5418 Å (Cu Kα).
No peak broadening, texture or thermal motion is included.

Atomic structure:
```
KCeZr2O6
1.0
0.0000 4.1789 4.1789
4.1789 0.0000 4.1789
4.1789 4.1789 0.0000
K Ce Zr O
1 1 2 6
direct
0.0000 0.0000 0.0000
0.5000 0.5000 0.5000
0.2500 0.2500 0.2500
0.7500 0.7500 0.7500
0.0000 0.0000 0.5000
0.0000 0.5000 0.0000
0.0000 0.5000 0.5000
0.5000 0.0000 0.0000
0.5000 0.0000 0.5000
0.5000 0.5000 0.0000
```

Main lines, by intensity (15° ≤ 2θ ≤ 90°):
| d/Å | 2θ (°) | I_rel |
| --- | --- | --- |
| 2.955 | 30.25 | 100 |
| 1.706 | 53.73 | 39 |
| 2.089 | 43.30 | 35 |
| 1.477 | 62.90 | 21 |
| 1.117 | 87.30 | 20 |
| 4.825 | 18.39 | 19 |
| 1.321 | 71.38 | 17 |
| 2.520 | 35.63 | 11 |
| 1.206 | 79.44 | 7 |
| 1.917 | 47.41 | 5 |



Entry 2:
Starting from a GGA-PBE-relaxed structure, the powder X-ray diffraction pattern of Li10GeP2Se12 was calculated for λ = 1.5418 Å (Cu Kα).
No peak broadening, texture or thermal motion is included.

Atomic structure:
```
Li10GeP2Se12
1.0
9.0528 0.0000 0.0000
-0.0522 9.3997 0.0000
-0.1648 -0.4618 13.6824
Li Ge P Se
20 2 4 24
direct
0.0000 0.0000 0.0000
0.0008 0.0120 0.7272
0.0085 0.4715 0.0685
0.0190 0.9785 0.4078
0.0397 0.4669 0.3435
0.2208 0.7696 0.1439
0.2440 0.7688 0.6723
0.4728 0.0704 0.4732
0.4787 0.5143 0.6380
0.4864 0.0093 0.9698
0.4856 0.4792 0.0828
0.4963 0.4643 0.3676
0.4972 0.9740 0.2023
0.5030 0.0124 0.7247
0.5125 0.5440 0.8763
0.7175 0.7679 0.4697
0.7520 0.2462 0.7676
0.7644 0.2187 0.2650
0.9884 0.5101 0.5752
0.9968 0.5171 0.8506
0.2520 0.7399 0.9011
0.7641 0.2445 0.5346
0.2479 0.2183 0.2197
0.2644 0.7347 0.4024
0.7432 0.2625 0.0288
0.7477 0.7678 0.7111
0.0307 0.7194 0.9916
0.0512 0.1985 0.3115
0.0645 0.7441 0.3051
0.2437 0.4358 0.1617
0.2468 0.9189 0.5095
0.2556 0.9648 0.8223
0.2588 0.5280 0.4792
0.2606 0.0430 0.1043
0.2607 0.5441 0.7828
0.4577 0.1982 0.3085
0.4595 0.7325 0.0111
0.4738 0.7380 0.3170
0.5359 0.2428 0.6243
0.5417 0.2838 0.9347
0.5446 0.7866 0.6163
0.7408 0.5575 0.7789
0.7421 0.0481 0.0942
0.7463 0.0462 0.4187
0.7514 0.4366 0.1440
0.7519 0.9513 0.8195
0.7726 0.4562 0.4392
0.9448 0.7867 0.6143
0.9464 0.2669 0.9372
0.9743 0.2523 0.6403
```

Main lines, by intensity (15° ≤ 2θ ≤ 90°):
| d/Å | 2θ (°) | I_rel |
| --- | --- | --- |
| 3.218 | 27.72 | 100 |
| 3.193 | 27.94 | 79 |
| 3.232 | 27.60 | 78 |
| 3.250 | 27.45 | 56 |
| 3.329 | 26.78 | 50 |
| 3.269 | 27.28 | 43 |
| 2.263 | 39.83 | 36 |
| 1.840 | 49.55 | 33 |
| 3.075 | 29.04 | 31 |
| 2.082 | 43.47 | 25 |



Entry 3:
Starting from a GGA-PBE-relaxed structure, the powder X-ray diffraction pattern of PdC2N4 was calculated for λ = 1.5418 Å (Cu Kα).
No peak broadening, texture or thermal motion is included.

Atomic structure:
```
PdC2N4
1.0
7.0427 0.0000 0.0000
0.0000 13.1826 0.0000
-3.8827 0.0000 7.2898
Pd C N
4 8 16
direct
0.2331 0.0152 0.2491
0.2331 0.4848 0.7491
0.7669 0.5152 0.2509
0.7669 0.9848 0.7509
0.1925 0.6170 0.8405
0.1925 0.8830 0.3405
0.4555 0.5579 0.7145
0.4555 0.9421 0.2145
0.5445 0.0579 0.7855
0.5445 0.4421 0.2855
0.8075 0.1170 0.6595
0.8075 0.3830 0.1595
0.9999 0.0805 0.2874
0.9999 0.4195 0.7874
0.0001 0.5805 0.2126
0.0001 0.9195 0.7126
0.1586 0.6920 0.8995
0.1586 0.8080 0.3995
0.2877 0.1484 0.1555
0.2877 0.3516 0.6555
0.4075 0.0952 0.8086
0.4075 0.4048 0.3086
0.5925 0.5952 0.6914
0.5925 0.9048 0.1914
0.7123 0.6484 0.3445
0.7123 0.8516 0.8445
0.8414 0.1920 0.6005
0.8414 0.3080 0.1005
```

Main lines, by intensity (15° ≤ 2θ ≤ 90°):
| d/Å | 2θ (°) | I_rel |
| --- | --- | --- |
| 5.802 | 15.27 | 100 |
| 3.748 | 23.74 | 57 |
| 3.640 | 24.45 | 57 |
| 3.190 | 27.97 | 33 |
| 2.442 | 36.80 | 17 |
| 2.901 | 30.82 | 16 |
| 2.326 | 38.71 | 13 |
| 3.107 | 28.73 | 11 |
| 2.811 | 31.83 | 10 |
| 2.920 | 30.61 | 9 |